Structure and simulated XRD peak list of KPa2F8 (a GGA-PBE-relaxed structure; Cu Kα (λ = 1.5418 Å)).
Kinematic intensities with the Lorentz-polarization factor, no thermal factor.

Cell and atoms:
```
KPa2F8
1.0
3.6545 -5.5926 0.0000
3.6545 5.5926 0.0000
-0.7406 0.0000 4.4646
K Pa F
1 2 8
Cartesian
0.0000 0.0000 0.0000 K
3.2861 1.9672 2.2374 Pa
3.2861 -1.9672 2.2374 Pa
0.9807 1.6041 2.4802 F
3.6736 2.6346 0.0082 F
0.9807 -1.6041 2.4802 F
2.7376 0.0000 1.0201 F
3.8655 0.0000 3.4481 F
5.6029 1.6130 1.9961 F
3.6736 -2.6346 0.0082 F
5.6029 -1.6130 1.9961 F
```

Peak list (8 most intense, 10 to 90 degrees two-theta, in order of rising 2θ)
d_spacing	2θ (°)	I (rel.)
6.060	14.62	64
5.593	15.85	52
4.465	19.89	100
3.605	24.69	73
3.489	25.53	50
3.312	26.92	96
2.569	34.92	45
2.232	40.41	45



Structure and simulated XRD peak list of KPb2F11 (a GGA-PBE-relaxed structure; Cu Kα (λ = 1.5418 Å)).
Kinematic intensities with the Lorentz-polarization factor, no thermal factor.

Cell and atoms:
```
KPb2F11
1.0
-4.2832 5.1767 6.3628
4.2832 -5.1767 6.3628
4.2832 5.1767 -6.3628
K Pb F
2 4 22
Cartesian
0.0000 0.0000 3.1814 K
0.0000 0.0000 9.5443 K
5.7777 2.0683 0.0000 Pb
1.4945 3.1084 0.0000 Pb
2.7887 2.0683 6.3628 Pb
-1.4945 3.1084 6.3628 Pb
4.2832 0.0000 0.0000 F
2.0154 -0.8586 1.4861 F
1.1443 1.7651 -1.5358 F
3.5493 2.0413 0.0000 F
6.5511 0.8586 1.4861 F
5.4275 3.4116 -1.5358 F
1.1443 1.7651 1.5358 F
2.2678 4.3180 -1.4861 F
3.5493 -2.0413 6.3628 F
5.4275 3.4116 1.5358 F
2.0154 0.8586 4.8768 F
0.0000 5.1767 0.0000 F
2.2678 4.3180 1.4861 F
-1.1443 1.7651 4.8270 F
0.7340 7.2180 0.0000 F
2.0154 0.8586 7.8489 F
3.1389 3.4116 4.8270 F
-1.1443 1.7651 7.8986 F
-2.2678 4.3180 4.8768 F
0.7340 3.1354 6.3628 F
3.1389 3.4116 7.8986 F
2.2678 6.0353 4.8768 F
```

Peak list (8 most intense, 10 to 90 degrees two-theta, in order of rising 2θ)
d_spacing	2θ (°)	I (rel.)
6.363	13.92	100
5.177	17.13	29
4.184	21.23	37
4.016	22.14	53
3.779	23.54	67
2.140	42.23	30
2.080	43.52	23
2.069	43.75	20



Structure and simulated XRD peak list of K6PbF12 (a GGA-PBE-relaxed structure; Cu Kα (λ = 1.5418 Å)).
Kinematic intensities with the Lorentz-polarization factor, no thermal factor.

Cell and atoms:
```
K6PbF12
1.0
5.6557 3.2653 3.5522
-5.6557 3.2653 3.5522
0.0000 -6.5307 3.5522
K Pb F
6 1 12
Cartesian
-3.0890 -2.6029 5.5194 K
-3.7987 1.3737 5.1371 K
0.7097 -3.9766 5.1371 K
-0.7096 3.9766 5.5194 K
3.7987 -1.3737 5.5194 K
3.0890 2.6029 5.1370 K
0.0000 0.0000 5.3282 Pb
-1.7836 -4.7350 4.6673 F
-4.9924 -0.8229 5.9892 F
-1.7118 -0.4843 4.1896 F
-3.2089 3.9121 4.6673 F
1.2753 -1.2403 4.1896 F
-0.4364 -1.7246 6.4669 F
0.4364 1.7246 4.1896 F
-1.2753 1.2403 6.4669 F
3.2089 -3.9121 5.9892 F
1.7118 0.4843 6.4669 F
4.9924 0.8229 4.6673 F
1.7836 4.7350 5.9892 F
```

Peak list (8 most intense, 10 to 90 degrees two-theta, in order of rising 2θ)
d_spacing	2θ (°)	I (rel.)
7.212	12.27	75
4.681	18.96	40
4.450	19.95	33
3.552	25.07	28
3.497	25.47	100
2.162	41.77	43
2.138	42.28	32
1.832	49.78	28



Structure and simulated XRD peak list of KPb2F5 (a GGA-PBE-relaxed structure; Cu Kα (λ = 1.5418 Å)).
Kinematic intensities with the Lorentz-polarization factor, no thermal factor.

Cell and atoms:
```
KPb2F5
1.0
8.4756 0.0000 0.0000
0.0000 6.2718 0.0000
-3.6053 0.0000 12.3599
K Pb F
4 8 20
Cartesian
0.0000 0.0000 0.0000 K
-1.8026 3.1359 6.1799 K
4.2378 0.0000 0.0000 K
2.4352 3.1359 6.1799 K
0.1191 0.3045 4.0454 Pb
-1.6836 2.8314 10.2254 Pb
2.1571 3.1691 1.7890 Pb
0.3545 6.2386 7.9690 Pb
4.5159 0.0332 4.3909 Pb
2.7133 3.1027 10.5708 Pb
6.5539 3.4404 2.1345 Pb
4.7513 5.9673 8.3144 Pb
-1.7703 1.1555 8.1522 F
0.0323 1.9804 1.9722 F
-1.4197 4.6190 8.3934 F
0.3830 4.7887 2.2134 F
0.3431 1.5656 6.1494 F
-1.4595 1.5703 12.3294 F
-1.1311 4.3734 11.9993 F
0.6716 5.0343 5.8194 F
2.5115 1.5285 3.7054 F
0.7089 1.6074 9.8853 F
4.1615 4.6644 2.4745 F
2.3588 4.7433 8.6545 F
4.1988 1.2375 6.5405 F
6.0014 1.8984 0.3606 F
6.3298 4.7015 0.0305 F
4.5272 4.7062 6.2104 F
4.4874 1.4831 10.1464 F
6.2900 1.6528 3.9665 F
4.8381 4.2914 10.3876 F
6.6407 5.1164 4.2077 F
```

Peak list (8 most intense, 10 to 90 degrees two-theta, in order of rising 2θ)
d_spacing	2θ (°)	I (rel.)
5.593	15.85	52
3.508	25.39	100
3.443	25.87	90
3.136	28.46	20
3.032	29.46	22
2.880	31.06	20
2.179	41.43	32
2.121	42.63	30



Structure and simulated XRD peak list of KPb3F6 (a GGA-PBE-relaxed structure; Cu Kα (λ = 1.5418 Å)).
Kinematic intensities with the Lorentz-polarization factor, no thermal factor.

Cell and atoms:
```
KPb3F6
1.0
4.4140 -6.1593 0.0000
4.4140 6.1593 0.0000
0.0000 0.0000 3.9957
K Pb F
1 3 6
Cartesian
0.0000 0.0000 0.0000 K
2.2070 3.0796 1.9978 Pb
2.2070 -3.0796 1.9978 Pb
4.4140 0.0000 0.0000 Pb
2.5114 1.6025 0.0000 F
4.4140 4.1956 1.9978 F
2.5114 -1.6025 0.0000 F
6.3167 1.6025 0.0000 F
4.4140 -4.1956 1.9978 F
6.3167 -1.6025 0.0000 F
```

Peak list (8 most intense, 10 to 90 degrees two-theta, in order of rising 2θ)
d_spacing	2θ (°)	I (rel.)
7.176	12.33	26
3.588	24.82	100
3.352	26.59	91
3.080	28.99	25
2.962	30.17	44
2.135	42.34	68
1.843	49.44	34
1.746	52.42	28



Structure and simulated XRD peak list of KPbF4 (a GGA-PBE-relaxed structure; Cu Kα (λ = 1.5418 Å)).
Kinematic intensities with the Lorentz-polarization factor, no thermal factor.

Cell and atoms:
```
KPbF4
1.0
6.3373 0.0000 0.0000
0.0000 6.0230 0.0000
-0.7496 0.0000 6.1201
K Pb F
2 2 8
Cartesian
0.0000 0.0000 0.0000 K
-0.3748 3.0115 3.0601 K
2.7938 0.0000 3.0601 Pb
3.1686 3.0115 0.0000 Pb
0.8947 0.8582 2.3608 F
0.5199 2.1533 5.4208 F
2.2047 4.2261 1.7148 F
1.8299 4.8084 4.7749 F
3.7577 1.2146 1.3452 F
3.3829 1.7969 4.4053 F
5.0678 3.8697 0.6993 F
4.6929 5.1648 3.7594 F
```

Peak list (8 most intense, 10 to 90 degrees two-theta, in order of rising 2θ)
d_spacing	2θ (°)	I (rel.)
6.290	14.08	86
4.293	20.69	76
3.696	24.08	100
3.413	26.11	72
3.145	28.38	27
2.175	41.52	25
2.146	42.10	29
1.846	49.36	31



Structure and simulated XRD peak list of KPbF4 (a GGA-PBE-relaxed structure; Cu Kα (λ = 1.5418 Å)).
Kinematic intensities with the Lorentz-polarization factor, no thermal factor.

Cell and atoms:
```
KPbF4
1.0
4.0301 0.0000 0.0000
0.0000 4.0301 0.0000
0.0000 0.0000 6.2323
K Pb F
1 1 4
Cartesian
0.0000 0.0000 0.0000 K
2.0151 2.0151 3.1161 Pb
0.0000 2.0151 1.8186 F
0.0000 2.0151 4.4137 F
2.0151 0.0000 1.8186 F
2.0151 0.0000 4.4137 F
```

Peak list (8 most intense, 10 to 90 degrees two-theta, in order of rising 2θ)
d_spacing	2θ (°)	I (rel.)
6.232	14.21	56
4.030	22.06	33
3.384	26.34	100
2.465	36.45	19
2.103	43.01	43
2.015	44.99	20
1.847	49.35	18
1.731	52.88	29